Diffraction record for LiFe3Si2O8. The powder diffractogram is calculated, not measured: it uses a DFT-relaxed cell (PBE+U, Alexandria) and Cu Kα.
Lines closer than 0.1° are merged.

Largest 8 diffraction maxima, by intensity, 2θ from 10° to 90°:
two_theta, Rel. int., h k l
21.27, 100, 0 0 3
35.11, 66, -1 1 4
34.81, 57, 1 3 2
24.60, 49, 1 -1 2
21.33, 46, 1 1 2
35.29, 42, 1 1 5
24.70, 39, 0 2 3
20.98, 38, 0 2 0

Atomic structure:
```
LiFe3Si2O8
1.0
5.1069 0.0000 0.0000
0.0479 8.9318 0.0000
2.4693 4.2129 12.5603
Li Fe Si O
3 9 6 24
direct
0.0000 0.0000 0.0000 Li
0.1454 0.6049 0.8355 Li
0.3648 0.8762 0.3482 Li
0.2632 0.3662 0.6601 Fe
0.3762 0.1171 0.5020 Fe
0.5436 0.6957 0.1646 Fe
0.5680 0.1053 0.8641 Fe
0.6090 0.4214 0.0171 Fe
0.6571 0.8408 0.7115 Fe
0.8712 0.5972 0.5195 Fe
0.9033 0.1241 0.2199 Fe
0.9583 0.3367 0.3599 Fe
0.0751 0.5176 0.1090 Si
0.1350 0.9983 0.7616 Si
0.4229 0.4924 0.4166 Si
0.4569 0.0537 0.1068 Si
0.6940 0.4758 0.7682 Si
0.8618 0.9642 0.4534 Si
0.0368 0.8105 0.4628 O
0.0395 0.3503 0.2056 O
0.0706 0.1158 0.4299 O
0.0967 0.4653 0.4386 O
0.2021 0.6605 0.1395 O
0.2068 0.1450 0.6493 O
0.2329 0.0035 0.2149 O
0.2640 0.4954 0.0016 O
0.3284 0.0976 0.0002 O
0.4254 0.9413 0.7986 O
0.5014 0.5183 0.5235 O
0.5022 0.3265 0.7739 O
0.5118 0.6323 0.7485 O
0.5296 0.6486 0.3113 O
0.5529 0.3324 0.3986 O
0.6442 0.9507 0.5664 O
0.6522 0.2083 0.1029 O
0.6691 0.9112 0.1054 O
0.6733 0.0040 0.3626 O
0.7669 0.5644 0.0837 O
0.8076 0.4555 0.8795 O
0.9501 0.0520 0.8551 O
0.9550 0.5048 0.6727 O
0.9978 0.8400 0.7478 O
```